Diffraction record for LiVTeW2O12. The XRD peak list is calculated, not measured: it uses DFT lattice parameters and positions (GGA+U) and CuKα.

Structural model:
```
data_LiVTeW2O12
_chemical_formula_sum 'Li1 V1 Te1 W2 O12'
_symmetry_space_group_name_H-M 'P 1'
_symmetry_Int_Tables_number 1
_cell_length_a 5.1516
_cell_length_b 5.3461
_cell_length_c 7.4761
_cell_angle_alpha 86.99
_cell_angle_beta 89.81
_cell_angle_gamma 89.51
loop_
_symmetry_equiv_pos_as_xyz
'x,y,z'
loop_
_atom_site_label
_atom_site_type_symbol
_atom_site_fract_x
_atom_site_fract_y
_atom_site_fract_z
Li1 Li 0.0000 0.0000 0.0000
V1 V 0.0055 0.5615 0.8022
Te1 Te 0.4968 0.0268 0.2696
W1 W 0.0029 0.5231 0.2998
W2 W 0.5011 0.0612 0.7617
O1 O 0.0998 0.5273 0.5285
O2 O 0.1896 0.8359 0.2126
O3 O 0.1944 0.2240 0.8291
O4 O 0.2845 0.7354 0.8254
O5 O 0.2988 0.3288 0.2165
O6 O 0.3909 0.0273 0.5181
O7 O 0.6188 0.0250 0.0257
O8 O 0.6938 0.7265 0.3286
O9 O 0.7038 0.3310 0.7257
O10 O 0.7941 0.8241 0.7390
O11 O 0.7989 0.2241 0.3263
O12 O 0.9093 0.5338 0.0257
```

Peak list (12 most intense, 2θ from 5° to 70°, by intensity)
d_spacing	Rel. int.
3.728	100
3.692	50
2.670	31
2.584	22
4.240	19
2.688	16
1.678	13
2.576	12
2.121	11
1.691	11
1.642	10
4.454	9